No. 1
This entry pairs a crystal structure of NdZrGa4 with its calculated X-ray diffraction stick pattern. Radiation: Cu Kα. Structure: a PBE-relaxed structure.
Lines closer than 0.1° are merged.

Top 12 peaks for 2θ = 10–90°, by angle:
33.4 deg, rel. 49; 33.5 deg, rel. 100; 42.9 deg, rel. 47; 43.2 deg, rel. 23; 45.9 deg, rel. 19; 55.4 deg, rel. 12; 55.6 deg, rel. 22; 64.6 deg, rel. 27; 64.8 deg, rel. 13; 72.7 deg, rel. 10; 73.0 deg, rel. 10; 76.9 deg, rel. 13

Structural model:
```
12
Lattice="4.1902 0.0000 0.0000 0.0000 7.3129 0.0000 0.0000 0.0000 7.9100" Properties=species:S:1:pos:R:3 pbc="T T T"
Nd 0.0000 0.0000 0.0000
Nd 2.0951 3.6565 3.9550
Zr 0.0000 0.0000 3.9550
Zr 2.0951 3.6565 0.0000
Ga 0.0000 2.4466 1.9258
Ga 0.0000 2.4466 5.9843
Ga 0.0000 4.8663 1.9258
Ga 0.0000 4.8663 5.9843
Ga 2.0951 1.2099 2.0293
Ga 2.0951 1.2099 5.8808
Ga 2.0951 6.1031 2.0293
Ga 2.0951 6.1031 5.8808
```



No. 2
This entry pairs a crystal structure of Ga3Ni13 with its calculated X-ray diffraction stick pattern. Radiation: Cu Kα. Structure: a PBE-relaxed structure.
Lines closer than 0.1° are merged.

Top 8 peaks for 2θ = 10–90°, by angle:
39.5 deg, rel. 1; 44.0 deg, rel. 100; 50.3 deg, rel. 16; 50.5 deg, rel. 16; 52.9 deg, rel. 14; 74.1 deg, rel. 9; 76.0 deg, rel. 8; 76.1 deg, rel. 9

Structural model:
```
16
Lattice="7.2318 0.0000 0.0000 0.0000 3.4645 3.6259 0.0000 -3.4645 3.6259" Properties=species:S:1:pos:R:3 pbc="T T T"
Ga 0.0000 0.0000 0.0000
Ga 1.8780 0.0000 2.0906
Ga 5.3538 0.0000 2.0906
Ni 0.0000 -1.6451 1.9554
Ni 0.0000 1.6451 1.9554
Ni 0.0000 0.0000 3.8884
Ni 1.8182 -1.7591 3.8346
Ni 1.8182 1.7591 3.8346
Ni 1.8238 0.0000 5.5990
Ni 3.6159 0.0000 0.1607
Ni 3.6159 -1.7584 2.0123
Ni 3.6159 1.7584 2.0123
Ni 3.6159 0.0000 3.8702
Ni 5.4080 0.0000 5.5990
Ni 5.4136 -1.7591 3.8346
Ni 5.4136 1.7591 3.8346
```



No. 3
This entry pairs a crystal structure of Ga3Ni with its calculated X-ray diffraction stick pattern. Radiation: Cu Kα. Structure: a PBE-relaxed structure.
Lines closer than 0.1° are merged.

Top 12 peaks for 2θ = 10–90°, by angle:
19.4 deg, rel. 25; 24.0 deg, rel. 13; 31.6 deg, rel. 16; 33.7 deg, rel. 35; 39.4 deg, rel. 24; 42.0 deg, rel. 100; 45.3 deg, rel. 55; 55.6 deg, rel. 16; 65.4 deg, rel. 13; 67.3 deg, rel. 12; 74.5 deg, rel. 23; 88.3 deg, rel. 19

Structural model:
```
16
Lattice="6.3278 0.0000 0.0000 0.0000 6.3278 0.0000 0.0000 0.0000 6.6115" Properties=species:S:1:pos:R:3 pbc="T T T"
Ga 0.0000 3.1639 0.0000
Ga 0.0000 3.1639 3.3058
Ga 0.9765 0.9765 1.5888
Ga 0.9765 0.9765 5.0227
Ga 2.1874 4.1404 1.7170
Ga 2.1874 4.1404 4.8946
Ga 3.1639 0.0000 0.0000
Ga 3.1639 0.0000 3.3058
Ga 4.1404 2.1874 1.7170
Ga 4.1404 2.1874 4.8946
Ga 5.3513 5.3513 1.5888
Ga 5.3513 5.3513 5.0227
Ni 0.9831 5.3447 0.0000
Ni 2.1808 2.1808 3.3058
Ni 4.1470 4.1470 3.3058
Ni 5.3447 0.9831 0.0000
```



No. 4
This entry pairs a crystal structure of GaNi with its calculated X-ray diffraction stick pattern. Radiation: Cu Kα. Structure: a PBE-relaxed structure.
Lines closer than 0.1° are merged.

Top 3 peaks for 2θ = 10–90°, by angle:
43.9 deg, rel. 100; 63.8 deg, rel. 15; 80.7 deg, rel. 30

Structural model:
```
2
Lattice="2.9167 0.0000 0.0000 0.0000 2.9167 0.0000 0.0000 0.0000 2.9167" Properties=species:S:1:pos:R:3 pbc="T T T"
Ga 0.0000 0.0000 0.0000
Ni 1.4583 1.4583 1.4583
```



No. 5
This entry pairs a crystal structure of Ga21Ni5 with its calculated X-ray diffraction stick pattern. Radiation: Cu Kα. Structure: a PBE-relaxed structure.
Lines closer than 0.1° are merged.

Top 12 peaks for 2θ = 10–90°, by angle:
31.3 deg, rel. 32; 33.6 deg, rel. 25; 34.5 deg, rel. 23; 34.7 deg, rel. 46; 35.5 deg, rel. 60; 36.4 deg, rel. 88; 37.2 deg, rel. 65; 40.6 deg, rel. 35; 42.9 deg, rel. 32; 47.1 deg, rel. 100; 47.4 deg, rel. 92; 65.3 deg, rel. 24

Structural model:
```
26
Lattice="0.0000 7.7596 4.4643 6.4070 0.0000 4.4643 6.4070 7.7596 0.0000" Properties=species:S:1:pos:R:3 pbc="T T T"
Ga 8.6942 7.7596 2.4093
Ga 9.8344 5.6024 4.4643
Ga 6.4070 7.7596 1.0348
Ga 4.4265 4.3755 2.2632
Ga 6.4070 2.8471 4.8791
Ga 6.4070 5.3585 3.6442
Ga 1.9804 3.3841 2.2632
Ga 9.8344 9.9168 4.4643
Ga 4.1197 7.7596 2.4093
Ga 7.9782 7.7596 5.1735
Ga 6.4070 10.1607 3.6442
Ga 6.4070 5.4680 6.4428
Ga 10.8335 11.1437 6.7275
Ga 2.9795 5.6024 4.4643
Ga 4.8357 7.7596 5.1735
Ga 7.8639 7.7596 7.8954
Ga 6.4070 12.6721 4.8791
Ga 6.4070 10.0512 6.4428
Ga 8.3874 12.1351 6.7275
Ga 2.9795 9.9168 4.4643
Ga 4.9500 7.7596 7.8954
Ni 3.9817 1.8710 2.1529
Ni 6.4070 7.7596 3.3851
Ni 2.4253 5.8886 2.1529
Ni 8.8323 9.6306 6.6172
Ni 10.3886 13.6482 6.6172
```



No. 6
This entry pairs a crystal structure of Ga2Ni3 with its calculated X-ray diffraction stick pattern. Radiation: Cu Kα. Structure: a PBE-relaxed structure.
Lines closer than 0.1° are merged.

Top 12 peaks for 2θ = 10–90°, by angle:
18.0 deg, rel. 11; 25.9 deg, rel. 21; 31.8 deg, rel. 24; 36.5 deg, rel. 6; 45.3 deg, rel. 100; 45.8 deg, rel. 98; 49.6 deg, rel. 5; 59.9 deg, rel. 8; 66.4 deg, rel. 30; 83.4 deg, rel. 16; 84.4 deg, rel. 30; 84.7 deg, rel. 15

Structural model:
```
5
Lattice="3.9651 0.0000 0.0000 -1.9825 3.4338 0.0000 0.0000 0.0000 4.9263" Properties=species:S:1:pos:R:3 pbc="T T T"
Ga 0.0000 2.2892 0.9158
Ga 1.9825 1.1446 4.0105
Ni 0.0000 0.0000 0.0000
Ni 0.0000 2.2892 3.2925
Ni 1.9825 1.1446 1.6338
```



No. 7
This entry pairs a crystal structure of Ga3Ni11 with its calculated X-ray diffraction stick pattern. Radiation: Cu Kα. Structure: a PBE-relaxed structure.
Lines closer than 0.1° are merged.

Top 12 peaks for 2θ = 10–90°, by angle:
37.2 deg, rel. 31; 41.9 deg, rel. 100; 42.0 deg, rel. 32; 42.9 deg, rel. 29; 46.2 deg, rel. 46; 46.6 deg, rel. 75; 47.5 deg, rel. 59; 54.4 deg, rel. 17; 57.4 deg, rel. 14; 66.0 deg, rel. 15; 84.6 deg, rel. 16; 87.3 deg, rel. 27

Structural model:
```
14
Lattice="-1.9127 4.6690 4.7198 1.9127 -4.6690 4.7198 1.9127 4.6690 -4.7198" Properties=species:S:1:pos:R:3 pbc="T T T"
Ga 0.0000 0.0000 0.0000
Ga 0.0000 0.0000 2.7084
Ga 0.0000 0.0000 6.7311
Ni 1.9127 -1.1502 1.2109
Ni 1.9127 -2.0842 3.3507
Ni 1.9127 1.1502 1.2109
Ni 1.9127 3.2639 0.0000
Ni 0.0000 2.5847 1.3690
Ni 0.0000 4.6690 0.0000
Ni 1.9127 2.0842 3.3507
Ni 0.0000 1.4050 4.7198
Ni 0.0000 3.5187 3.5088
Ni 0.0000 6.7532 1.3690
Ni 0.0000 5.8192 3.5088
```



No. 8
This entry pairs a crystal structure of NpGa6Ni6 with its calculated X-ray diffraction stick pattern. Radiation: Cu Kα. Structure: a PBE-relaxed structure.
Lines closer than 0.1° are merged.

Top 12 peaks for 2θ = 10–90°, by angle:
14.7 deg, rel. 22; 29.7 deg, rel. 18; 35.8 deg, rel. 64; 37.0 deg, rel. 22; 41.6 deg, rel. 58; 42.1 deg, rel. 100; 42.6 deg, rel. 38; 43.4 deg, rel. 28; 47.2 deg, rel. 25; 68.7 deg, rel. 21; 75.9 deg, rel. 25; 78.7 deg, rel. 27

Structural model:
```
13
Lattice="-2.5046 4.1702 4.3424 2.5046 -4.1702 4.3424 2.5046 4.1702 -4.3424" Properties=species:S:1:pos:R:3 pbc="T T T"
Np 0.0000 0.0000 0.0000
Ga 2.5046 0.0000 1.6148
Ga 0.0000 2.8654 0.0000
Ga 0.0000 0.0000 2.9936
Ga 0.0000 0.0000 5.6912
Ga 0.0000 5.4749 0.0000
Ga 0.0000 4.1702 2.7276
Ni 1.2523 2.0851 -2.1712
Ni 1.2523 -2.0851 2.1712
Ni 2.5046 1.9880 0.0000
Ni -1.2523 2.0851 2.1712
Ni 1.2523 2.0851 2.1712
Ni 0.0000 2.1821 4.3424
```